Starting from a GGA-PBE-relaxed structure, the powder diffraction line list of ThSc2B12Rh12 was simulated for Cu Kα.
Lines closer than 0.1° are merged.

Peak list (6 most intense, 15 to 90 degrees two-theta, by intensity)
h k l, 2theta, intensity
2 0 3, 35.8, 100
2 1 3, 39.7, 82
1 0 9, 40.1, 66
1 0 6, 29.3, 59
2 1 6, 45.2, 43
2 2 12, 71.2, 27

Structural model:
```
data_ThSc2B12Rh12
_chemical_formula_sum 'Th2 Sc4 B24 Rh24'
_cell_length_a 5.331
_cell_length_b 5.331
_cell_length_c 22.338
_cell_angle_alpha 90.00
_cell_angle_beta 90.00
_cell_angle_gamma 90.00
_space_group_name_H-M_alt 'P -4 m 2'
_space_group_IT_number 115
_space_group_name_Hall 'P -4 -2'
loop_
_atom_site_label
_atom_site_type_symbol
_atom_site_fract_x
_atom_site_fract_y
_atom_site_fract_z
Th1 Th 0.000 0.000 0.167
Sc1 Sc 0.000 0.000 0.500
Sc2 Sc 0.500 0.500 0.000
Sc3 Sc 0.500 0.500 0.334
B1 B 0.000 0.330 0.616
B2 B 0.000 0.331 0.286
B3 B 0.000 0.331 0.951
B4 B 0.167 0.500 0.117
B5 B 0.167 0.500 0.783
B6 B 0.169 0.500 0.451
Rh1 Rh 0.000 0.249 0.384
Rh2 Rh 0.000 0.251 0.713
Rh3 Rh 0.000 0.252 0.047
Rh4 Rh 0.252 0.500 0.219
Rh5 Rh 0.252 0.500 0.549
Rh6 Rh 0.252 0.500 0.884
```